No. 1
Simulated PXRD pattern of Li2CaCl for Cu Kα (λ = 1.5418 Å), from a cell relaxed with GGA-PBE.
Lines closer than 0.1° are merged.

The 10 most intense peaks (10° ≤ 2θ ≤ 90°), sorted by position:
2θ/deg	d/Å	I (rel.)
19.3	4.602	88
27.8	3.209	59
28.1	3.180	49
34.1	2.632	100
34.3	2.616	37
39.1	2.301	13
48.7	1.870	31
48.9	1.864	12
53.6	1.710	24
64.8	1.438	12

Structure:
a b c (Å): 3.683 3.683 9.205
angles (deg): 90.00 90.00 119.39
Fractional coordinates of all 4 atoms:
Li (0.000, 0.000, 0.171)
Li (0.000, 0.000, 0.829)
Ca (0.500, 0.500, 0.500)
Cl (0.500, 0.500, 0.000)

***

No. 2
Simulated PXRD pattern of Li4CaCl6 for Cu Kα (λ = 1.5418 Å), from a cell relaxed with GGA-PBE.
Lines closer than 0.1° are merged.

The 10 most intense peaks (10° ≤ 2θ ≤ 90°), sorted by position:
2θ/deg	d/Å	I (rel.)
28.8	3.096	23
29.8	2.998	21
30.9	2.890	20
31.5	2.839	67
32.1	2.787	100
33.0	2.712	21
34.1	2.631	100
35.8	2.511	39
48.9	1.861	41
59.7	1.548	26

Structure:
a b c (Å): 6.352 6.352 18.820
angles (deg): 90.00 90.00 145.91
Fractional coordinates of all 22 atoms:
Li (0.101, 0.899, 0.621)
Li (0.101, 0.899, 0.879)
Li (0.363, 0.637, 0.539)
Li (0.363, 0.637, 0.961)
Li (0.637, 0.363, 0.039)
Li (0.637, 0.363, 0.461)
Li (0.899, 0.101, 0.121)
Li (0.899, 0.101, 0.379)
Ca (0.153, 0.847, 0.250)
Ca (0.847, 0.153, 0.750)
Cl (0.000, 0.000, 0.000)
Cl (0.000, 0.000, 0.500)
Cl (0.182, 0.818, 0.750)
Cl (0.274, 0.726, 0.083)
Cl (0.274, 0.726, 0.417)
Cl (0.452, 0.548, 0.660)
Cl (0.452, 0.548, 0.840)
Cl (0.548, 0.452, 0.160)
Cl (0.548, 0.452, 0.340)
Cl (0.726, 0.274, 0.583)
Cl (0.726, 0.274, 0.917)
Cl (0.818, 0.182, 0.250)

***

No. 3
Simulated PXRD pattern of Li3Ca2Cl7 for Cu Kα (λ = 1.5418 Å), from a cell relaxed with GGA-PBE.
Lines closer than 0.1° are merged.

The 10 most intense peaks (10° ≤ 2θ ≤ 90°), sorted by position:
2θ/deg	d/Å	I (rel.)
18.7	4.744	38
27.1	3.287	68
28.7	3.106	100
29.2	3.062	84
30.1	2.970	44
31.7	2.827	56
34.6	2.589	43
38.1	2.364	38
45.8	1.980	42
46.0	1.975	35

Structure:
a b c (Å): 12.667 12.667 6.826
angles (deg): 90.00 90.00 31.39
Fractional coordinates of all 24 atoms:
Li (0.086, 0.494, 0.462)
Li (0.230, 0.770, 0.500)
Li (0.494, 0.086, 0.962)
Li (0.506, 0.914, 0.462)
Li (0.770, 0.230, 0.000)
Li (0.914, 0.506, 0.962)
Ca (0.139, 0.650, 0.987)
Ca (0.350, 0.861, 0.987)
Ca (0.650, 0.139, 0.487)
Ca (0.861, 0.350, 0.487)
Cl (0.043, 0.244, 0.144)
Cl (0.106, 0.894, 0.863)
Cl (0.165, 0.416, 0.098)
Cl (0.244, 0.043, 0.644)
Cl (0.334, 0.522, 0.329)
Cl (0.416, 0.165, 0.598)
Cl (0.478, 0.666, 0.329)
Cl (0.522, 0.334, 0.829)
Cl (0.584, 0.835, 0.098)
Cl (0.666, 0.478, 0.829)
Cl (0.756, 0.957, 0.144)
Cl (0.835, 0.584, 0.598)
Cl (0.894, 0.106, 0.363)
Cl (0.957, 0.756, 0.644)

***

No. 4
Simulated PXRD pattern of Li2CaRhCl8 for Cu Kα (λ = 1.5418 Å), from a cell relaxed with GGA-PBE.
Lines closer than 0.1° are merged.

The 10 most intense peaks (10° ≤ 2θ ≤ 90°), sorted by position:
2θ/deg	d/Å	I (rel.)
12.0	7.355	42
14.4	6.163	81
14.5	6.112	100
15.2	5.828	34
18.3	4.849	66
22.4	3.963	29
24.2	3.678	31
31.6	2.833	73
34.3	2.614	64
35.1	2.555	58

Structure:
a b c (Å): 6.298 6.682 7.881
angles (deg): 68.97 86.77 78.13
Fractional coordinates of all 12 atoms:
Li (0.045, 0.162, 0.308)
Li (0.955, 0.838, 0.692)
Ca (0.500, 0.500, 0.500)
Rh (0.500, 0.500, 0.000)
Cl (0.109, 0.773, 0.433)
Cl (0.155, 0.715, 0.976)
Cl (0.376, 0.292, 0.856)
Cl (0.409, 0.259, 0.288)
Cl (0.591, 0.741, 0.712)
Cl (0.624, 0.708, 0.144)
Cl (0.845, 0.285, 0.024)
Cl (0.891, 0.227, 0.567)